# MgFe4H4O8
Theoretical PXRD pattern, Cu Kα (weighted mean of Kα1 and Kα2). Input: a DFT-relaxed cell (GGA+U, the Materials Project).
Lines closer than 0.1° are merged.

Crystal structure
abc: 8.0563 8.0563 10.8509
angles: 130.97 130.97 22.15
Sites, in units of the cell vectors:
Mg 0.0000 0.0000 0.0000
Fe 0.2530 0.0630 0.3241
Fe 0.3664 0.3328 0.0106
Fe 0.6672 0.6336 0.9894
Fe 0.9370 0.7470 0.6759
H 0.3424 0.3108 0.2418
H 0.5170 0.3077 0.5707
H 0.6892 0.6576 0.7582
H 0.6923 0.4830 0.4293
O 0.0674 0.0277 0.8659
O 0.2959 0.2618 0.1224
O 0.3915 0.3595 0.8521
O 0.4489 0.2294 0.5409
O 0.6405 0.6085 0.1479
O 0.7382 0.7041 0.8776
O 0.7706 0.5511 0.4591
O 0.9723 0.9326 0.1341

Principal peaks in the range 10° ≤ 2θ ≤ 90°, most intense first:
2θ 10.96, intensity 100; 2θ 11.23, intensity 89; 2θ 16.34, intensity 35; 2θ 34.13, intensity 31; 2θ 43.09, intensity 23; 2θ 34.31, intensity 20

---

# MgFe4H4O8
Theoretical PXRD pattern, Cu Kα (weighted mean of Kα1 and Kα2). Input: a DFT-relaxed cell (GGA+U, the Materials Project).
Lines closer than 0.1° are merged.

Crystal structure
abc: 4.9193 3.0453 10.9715
angles: 90.00 90.33 90.00
Sites, in units of the cell vectors:
Mg 0.0000 0.0000 0.0000
Fe 0.0227 0.0000 0.3988
Fe 0.5273 0.0000 0.8857
Fe 0.5802 0.5000 0.1811
Fe 0.8604 0.5000 0.6369
H 0.1199 0.5000 0.8119
H 0.1569 0.0000 0.1838
H 0.3390 0.0000 0.6112
H 0.4806 0.5000 0.3985
O 0.1518 0.0000 0.5792
O 0.2100 0.5000 0.8925
O 0.3088 0.0000 0.1226
O 0.3146 0.5000 0.3415
O 0.6892 0.0000 0.7272
O 0.7226 0.5000 0.0054
O 0.7936 0.5000 0.4475
O 0.8258 0.0000 0.2253

Principal peaks in the range 10° ≤ 2θ ≤ 90°, most intense first:
2θ 19.79, intensity 100; 2θ 35.62, intensity 84; 2θ 24.37, intensity 43; 2θ 32.65, intensity 38; 2θ 30.38, intensity 38; 2θ 38.44, intensity 35

---

# MgFe4H4O8
Theoretical PXRD pattern, Cu Kα (weighted mean of Kα1 and Kα2). Input: a DFT-relaxed cell (GGA+U, the Materials Project).
Lines closer than 0.1° are merged.

Crystal structure
abc: 5.6457 3.0656 10.3360
angles: 90.00 90.50 90.00
Sites, in units of the cell vectors:
Mg 0.0000 0.0000 0.0000
Fe 0.3240 0.0000 0.1942
Fe 0.5319 0.5000 0.4508
Fe 0.5350 0.5000 0.8659
Fe 0.8198 0.0000 0.6645
H 0.2009 0.0000 0.8068
H 0.2290 0.5000 0.6470
H 0.7190 0.5000 0.1805
H 0.9534 0.0000 0.4231
O 0.0606 0.5000 0.6714
O 0.0953 0.5000 0.1232
O 0.2860 0.0000 0.8902
O 0.3253 0.0000 0.3714
O 0.5562 0.5000 0.1456
O 0.5806 0.5000 0.6527
O 0.7742 0.0000 0.8619
O 0.7955 0.0000 0.4622

Principal peaks in the range 10° ≤ 2θ ≤ 90°, most intense first:
2θ 17.84, intensity 100; 2θ 43.59, intensity 80; 2θ 15.70, intensity 50; 2θ 34.39, intensity 50; 2θ 34.72, intensity 40; 2θ 23.23, intensity 36

---

# Mg3Fe2H4Se6O20
Theoretical PXRD pattern, Cu Kα (weighted mean of Kα1 and Kα2). Input: a DFT-relaxed cell (GGA+U, the Materials Project).
Lines closer than 0.1° are merged.

Crystal structure
abc: 6.5725 8.0851 9.0573
angles: 85.71 78.93 76.39
Sites, in units of the cell vectors:
Mg 0.0000 0.0000 0.0000
Mg 0.1871 0.3242 0.7350
Mg 0.8129 0.6758 0.2650
Fe 0.3653 0.6031 0.8822
Fe 0.6347 0.3969 0.1178
H 0.1840 0.5323 0.4636
H 0.3518 0.3579 0.4434
H 0.6482 0.6421 0.5566
H 0.8160 0.4677 0.5364
Se 0.1667 0.2911 0.1285
Se 0.2636 0.9229 0.6344
Se 0.3001 0.7825 0.2234
Se 0.6999 0.2175 0.7766
Se 0.7364 0.0771 0.3656
Se 0.8333 0.7089 0.8715
O 0.0442 0.9435 0.7794
O 0.0839 0.5671 0.8386
O 0.1062 0.6850 0.3118
O 0.1657 0.2036 0.9624
O 0.2396 0.4261 0.5173
O 0.2694 0.7965 0.0309
O 0.3300 0.4399 0.0705
O 0.3646 0.0921 0.6535
O 0.4431 0.7517 0.7075
O 0.4739 0.3817 0.7689
O 0.5261 0.6183 0.2311
O 0.5569 0.2483 0.2925
O 0.6354 0.9079 0.3465
O 0.6700 0.5601 0.9295
O 0.7306 0.2035 0.9691
O 0.7604 0.5739 0.4827
O 0.8343 0.7964 0.0376
O 0.8938 0.3150 0.6882
O 0.9161 0.4329 0.1614
O 0.9558 0.0565 0.2206

Principal peaks in the range 10° ≤ 2θ ≤ 90°, most intense first:
2θ 29.91, intensity 100; 2θ 32.65, intensity 80; 2θ 23.27, intensity 76; 2θ 28.41, intensity 44; 2θ 28.11, intensity 44; 2θ 27.16, intensity 42